For Y2Er3S6, DFT lattice parameters and positions (PBE) gives the computed PXRD pattern in this record (copper Kα).

Peak list (10 most intense, 15° ≤ 2θ ≤ 90°, by intensity)
| 2θ/deg | I/Imax |
| --- | --- |
| 32.65 | 100 |
| 28.20 | 42 |
| 46.78 | 36 |
| 46.90 | 35 |
| 26.94 | 20 |
| 58.32 | 18 |
| 55.58 | 16 |
| 77.79 | 16 |
| 77.97 | 15 |
| 28.10 | 15 |

Structural model:
```
data_Y2Er3S6
_space_group_name_H-M_alt 'C 1 2/m 1'
_space_group_IT_number 12
_space_group_name_Hall '-C 2y'
_cell_length_a 6.7352
_cell_length_b 11.6195
_cell_length_c 6.7124
_cell_angle_alpha 90.00
_cell_angle_beta 109.48
_cell_angle_gamma 90.00
loop_
_atom_site_label
_atom_site_type_symbol
_atom_site_fract_x
_atom_site_fract_y
_atom_site_fract_z
Y1 Y 0.0000 0.1654 0.0000
Er1 Er 0.0000 0.0000 0.5000
Er2 Er 0.0000 0.3368 0.5000
S1 S 0.2477 0.5000 0.7501
S2 S 0.2487 0.1665 0.7451
```

For YEr2S2, DFT lattice parameters and positions (PBE) gives the computed PXRD pattern in this record (copper Kα).

Peak list (10 most intense, 15° ≤ 2θ ≤ 90°, by intensity)
| 2θ/deg | I/Imax |
| --- | --- |
| 31.43 | 100 |
| 47.92 | 38 |
| 29.94 | 34 |
| 27.85 | 26 |
| 78.84 | 25 |
| 28.25 | 24 |
| 42.01 | 24 |
| 35.12 | 22 |
| 56.56 | 22 |
| 58.44 | 21 |

Structural model:
```
data_YEr2S2
_space_group_name_H-M_alt 'R -3 m'
_space_group_IT_number 166
_space_group_name_Hall '-R 3 2"'
_cell_length_a 3.7966
_cell_length_b 3.7966
_cell_length_c 28.4286
_cell_angle_alpha 90.00
_cell_angle_beta 90.00
_cell_angle_gamma 120.00
loop_
_atom_site_label
_atom_site_type_symbol
_atom_site_fract_x
_atom_site_fract_y
_atom_site_fract_z
Y1 Y 0.0000 0.0000 0.0000
Er1 Er 0.0000 0.0000 0.2158
S1 S 0.0000 0.0000 0.3918
```

For Y3Er2S4, DFT lattice parameters and positions (PBE) gives the computed PXRD pattern in this record (copper Kα).

Peak list (10 most intense, 15° ≤ 2θ ≤ 90°, by intensity)
| 2θ/deg | I/Imax |
| --- | --- |
| 31.75 | 100 |
| 29.08 | 40 |
| 47.29 | 37 |
| 78.05 | 29 |
| 58.08 | 23 |
| 43.68 | 22 |
| 28.09 | 20 |
| 55.91 | 19 |
| 27.37 | 18 |
| 48.55 | 17 |

Structural model:
```
data_Y3Er2S4
_space_group_name_H-M_alt 'P -3 m 1'
_space_group_IT_number 164
_space_group_name_Hall '-P 3 2"'
_cell_length_a 3.8444
_cell_length_b 3.8444
_cell_length_c 15.8844
_cell_angle_alpha 90.00
_cell_angle_beta 90.00
_cell_angle_gamma 120.00
loop_
_atom_site_label
_atom_site_type_symbol
_atom_site_fract_x
_atom_site_fract_y
_atom_site_fract_z
Y1 Y 0.0000 0.0000 0.0000
Y2 Y 0.3333 0.6667 0.5906
Er1 Er 0.3333 0.6667 0.2052
S1 S 0.0000 0.0000 0.3034
S2 S 0.3333 0.6667 0.8957
```

For Er7ZnS5, DFT lattice parameters and positions (PBE) gives the computed PXRD pattern in this record (copper Kα).

Peak list (10 most intense, 15° ≤ 2θ ≤ 90°, by intensity)
| 2θ/deg | I/Imax |
| --- | --- |
| 32.27 | 100 |
| 47.04 | 86 |
| 33.44 | 66 |
| 28.65 | 64 |
| 30.43 | 58 |
| 30.45 | 57 |
| 57.07 | 39 |
| 30.95 | 29 |
| 28.28 | 29 |
| 46.25 | 27 |

Structural model:
```
data_Er7ZnS5
_space_group_name_H-M_alt 'C 1 2/m 1'
_space_group_IT_number 12
_space_group_name_Hall '-C 2y'
_cell_length_a 12.7400
_cell_length_b 3.8631
_cell_length_c 23.1619
_cell_angle_alpha 90.00
_cell_angle_beta 90.04
_cell_angle_gamma 90.00
loop_
_atom_site_label
_atom_site_type_symbol
_atom_site_fract_x
_atom_site_fract_y
_atom_site_fract_z
Er1 Er 0.0274 0.0000 0.2501
Er2 Er 0.0912 0.5000 0.1102
Er3 Er 0.0907 0.5000 0.3899
Er4 Er 0.1369 0.0000 0.5361
Er5 Er 0.1367 0.0000 0.9639
Er6 Er 0.1820 0.5000 0.8244
Er7 Er 0.1827 0.5000 0.6758
Zn1 Zn 0.2010 0.5000 0.2496
S1 S 0.0000 0.5000 0.0000
S2 S 0.0000 0.5000 0.5000
S3 S 0.0472 0.0000 0.6406
S4 S 0.0467 0.0000 0.8594
S5 S 0.2262 0.0000 0.0705
S6 S 0.2260 0.0000 0.4295
```

For ErZrS4, DFT lattice parameters and positions (PBE) gives the computed PXRD pattern in this record (copper Kα).

Peak list (10 most intense, 15° ≤ 2θ ≤ 90°, by intensity)
| 2θ/deg | I/Imax |
| --- | --- |
| 27.10 | 100 |
| 20.01 | 86 |
| 20.23 | 78 |
| 39.69 | 69 |
| 39.93 | 59 |
| 49.75 | 50 |
| 30.79 | 30 |
| 51.54 | 26 |
| 41.12 | 22 |
| 28.60 | 20 |

Structural model:
```
data_ErZrS4
_space_group_name_H-M_alt 'C m m m'
_space_group_IT_number 65
_space_group_name_Hall '-C 2 2'
_cell_length_a 8.7797
_cell_length_b 8.8760
_cell_length_c 3.8725
_cell_angle_alpha 90.00
_cell_angle_beta 90.00
_cell_angle_gamma 90.00
loop_
_atom_site_label
_atom_site_type_symbol
_atom_site_fract_x
_atom_site_fract_y
_atom_site_fract_z
Er1 Er 0.0000 0.0000 0.0000
Zr1 Zr 0.0000 0.5000 0.5000
S1 S 0.0000 0.3074 0.0000
S2 S 0.2098 0.0000 0.5000
```

For Er2ZrS6, DFT lattice parameters and positions (PBE) gives the computed PXRD pattern in this record (copper Kα).

Peak list (10 most intense, 15° ≤ 2θ ≤ 90°, by intensity)
| 2θ/deg | I/Imax |
| --- | --- |
| 20.06 | 100 |
| 39.49 | 79 |
| 26.74 | 66 |
| 49.43 | 30 |
| 40.77 | 27 |
| 45.84 | 17 |
| 50.74 | 17 |
| 28.52 | 14 |
| 65.94 | 13 |
| 63.20 | 13 |

Structural model:
```
data_Er2ZrS6
_space_group_name_H-M_alt 'P 42/m n m'
_space_group_IT_number 136
_space_group_name_Hall '-P 4n 2n'
_cell_length_a 6.2601
_cell_length_b 6.2601
_cell_length_c 11.8160
_cell_angle_alpha 90.00
_cell_angle_beta 90.00
_cell_angle_gamma 90.00
loop_
_atom_site_label
_atom_site_type_symbol
_atom_site_fract_x
_atom_site_fract_y
_atom_site_fract_z
Er1 Er 0.0000 0.0000 0.1699
Zr1 Zr 0.0000 0.0000 0.5000
S1 S 0.1974 0.1974 0.3430
S2 S 0.2082 0.2082 0.0000
```